Record 1
The following is a simulated powder XRD pattern of NbTl2Cl5. It was derived from a GGA-PBE-relaxed structure, using Cu Kα X-rays.
No peak broadening, texture or thermal motion is included.

Top 6 peaks for 10° ≤ 2θ ≤ 90°, by angle:
hkl, Position (°2θ), d (Å), I (rel.)
1 0 0, 17.0, 5.229, 62
1 1 -1, 22.8, 3.902, 100
0 1 1, 23.7, 3.757, 81
1 0 -2, 24.5, 3.634, 90
-2 1 1, 27.6, 3.235, 69
0 0 2, 28.2, 3.163, 62

Crystal structure
```
data_NbTl2Cl5
_space_group_name_H-M_alt 'P 1'
_space_group_IT_number 1
_cell_length_a 6.518
_cell_length_b 7.499
_cell_length_c 7.507
_cell_angle_alpha 102.75
_cell_angle_beta 111.96
_cell_angle_gamma 111.80
loop_
_space_group_symop_operation_xyz
'x,y,z'
loop_
_atom_site_label
_atom_site_type_symbol
_atom_site_fract_x
_atom_site_fract_y
_atom_site_fract_z
Nb1 Nb 0.000 0.000 0.000
Tl1 Tl 0.411 0.211 0.667
Tl2 Tl 0.411 0.667 0.211
Cl1 Cl 0.006 0.225 0.790
Cl2 Cl 0.006 0.791 0.225
Cl3 Cl 0.064 0.279 0.279
Cl4 Cl 0.372 0.009 0.009
Cl5 Cl 0.594 0.716 0.716
```

Record 2
The following is a simulated powder XRD pattern of Nb6Tl2VCl18. It was derived from a GGA-PBE-relaxed structure, using Cu Kα X-rays.
No peak broadening, texture or thermal motion is included.

Top 6 peaks for 10° ≤ 2θ ≤ 90°, by angle:
hkl, Position (°2θ), d (Å), I (rel.)
1 0 1, 11.5, 7.692, 91
1 0 4, 17.7, 5.006, 44
1 0 7, 26.8, 3.324, 43
3 -2 2, 30.1, 2.966, 51
1 2 5, 34.3, 2.618, 100
1 2 8, 40.9, 2.204, 60

Crystal structure
```
data_Nb6Tl2VCl18
_space_group_name_H-M_alt 'R -3'
_space_group_IT_number 148
_space_group_name_Hall '-R 3'
_cell_length_a 9.3150
_cell_length_b 9.3150
_cell_length_c 25.5344
_cell_angle_alpha 90.00
_cell_angle_beta 90.00
_cell_angle_gamma 120.00
loop_
_atom_site_label
_atom_site_type_symbol
_atom_site_fract_x
_atom_site_fract_y
_atom_site_fract_z
Nb1 Nb 0.0469 0.8459 0.0473
Tl1 Tl 0.0000 0.0000 0.2224
V1 V 0.0000 0.0000 0.5000
Cl1 Cl 0.0224 0.7890 0.4426
Cl2 Cl 0.0459 0.7966 0.6675
Cl3 Cl 0.0542 0.8183 0.8887
```

Record 3
The following is a simulated powder XRD pattern of Nb3WCl9. It was derived from a GGA-PBE-relaxed structure, using Cu Kα X-rays.
No peak broadening, texture or thermal motion is included.

Top 6 peaks for 10° ≤ 2θ ≤ 90°, by angle:
hkl, Position (°2θ), d (Å), I (rel.)
0 1 1, 11.8, 7.519, 27
0 0 2, 12.1, 7.341, 100
0 1 -1, 13.2, 6.710, 31
1 0 0, 14.0, 6.324, 43
1 0 2, 16.9, 5.231, 23
1 3 4, 35.1, 2.556, 8

Crystal structure
```
data_Nb3WCl9
_space_group_name_H-M_alt 'P 1'
_space_group_IT_number 1
_cell_length_a 6.970
_cell_length_b 8.869
_cell_length_c 15.218
_cell_angle_alpha 77.89
_cell_angle_beta 76.81
_cell_angle_gamma 66.86
loop_
_space_group_symop_operation_xyz
'x,y,z'
loop_
_atom_site_label
_atom_site_type_symbol
_atom_site_fract_x
_atom_site_fract_y
_atom_site_fract_z
Nb1 Nb 0.000 0.000 0.000
Nb2 Nb 0.031 0.708 0.900
Nb3 Nb 0.581 0.501 0.500
Nb4 Nb 0.660 0.213 0.940
Nb5 Nb 0.766 0.714 0.441
Nb6 Nb 0.941 0.209 0.401
W1 W 0.714 0.904 0.990
W2 W 0.973 0.404 0.490
Cl1 Cl 0.064 0.289 0.254
Cl2 Cl 0.110 0.576 0.353
Cl3 Cl 0.208 0.463 0.579
Cl4 Cl 0.247 0.098 0.475
Cl5 Cl 0.284 0.426 0.983
Cl6 Cl 0.303 0.804 0.901
Cl7 Cl 0.332 0.963 0.079
Cl8 Cl 0.510 0.714 0.358
Cl9 Cl 0.510 0.737 0.584
Cl10 Cl 0.542 0.076 0.853
Cl11 Cl 0.572 0.305 0.401
Cl12 Cl 0.751 0.236 0.084
Cl13 Cl 0.762 0.597 0.974
Cl14 Cl 0.774 0.319 0.633
Cl15 Cl 0.856 0.818 0.133
Cl16 Cl 0.889 0.926 0.483
Cl17 Cl 0.973 0.789 0.753
Cl18 Cl 0.998 0.213 0.858
```

Record 4
The following is a simulated powder XRD pattern of Nb2Zn2Cl7. It was derived from a GGA-PBE-relaxed structure, using Cu Kα X-rays.
No peak broadening, texture or thermal motion is included.

Top 6 peaks for 10° ≤ 2θ ≤ 90°, by angle:
hkl, Position (°2θ), d (Å), I (rel.)
0 2 0, 16.8, 5.285, 74
1 1 -1, 17.8, 4.995, 79
1 1 2, 19.8, 4.481, 47
1 3 2, 31.2, 2.870, 69
1 3 4, 35.3, 2.542, 100
1 3 -8, 47.9, 1.898, 44

Crystal structure
```
data_Nb2Zn2Cl7
_space_group_name_H-M_alt 'C 1 2/c 1'
_space_group_IT_number 15
_cell_length_a 5.877
_cell_length_b 10.570
_cell_length_c 19.277
_cell_angle_alpha 90.00
_cell_angle_beta 91.78
_cell_angle_gamma 90.00
loop_
_space_group_symop_operation_xyz
'x,y,z'
'-x,-y,-z'
'-x,y,-z+1/2'
'x,-y,z+1/2'
'x+1/2,y+1/2,z'
'-x+1/2,-y+1/2,-z'
'-x+1/2,y+1/2,-z+1/2'
'x+1/2,-y+1/2,z+1/2'
loop_
_atom_site_label
_atom_site_type_symbol
_atom_site_fract_x
_atom_site_fract_y
_atom_site_fract_z
Nb1 Nb 0.055 0.183 0.002
Zn1 Zn 0.017 0.289 0.690
Cl1 Cl 0.000 0.499 0.250
Cl2 Cl 0.176 0.007 0.569
Cl3 Cl 0.178 0.330 0.578
Cl4 Cl 0.190 0.326 0.095
```

Record 5
The following is a simulated powder XRD pattern of Nd4PClO8. It was derived from a GGA-PBE-relaxed structure, using Cu Kα X-rays.
No peak broadening, texture or thermal motion is included.

Top 6 peaks for 10° ≤ 2θ ≤ 90°, by angle:
hkl, Position (°2θ), d (Å), I (rel.)
2 0 0, 13.5, 6.545, 22
1 1 1, 22.5, 3.948, 24
3 1 1, 29.7, 3.004, 100
0 2 0, 30.5, 2.928, 41
6 2 0, 52.3, 1.750, 26
3 3 1, 53.7, 1.706, 23

Crystal structure
```
data_Nd4PClO8
_space_group_name_H-M_alt 'P m n 21'
_space_group_IT_number 31
_cell_length_a 13.091
_cell_length_b 5.864
_cell_length_c 5.848
_cell_angle_alpha 90.00
_cell_angle_beta 90.00
_cell_angle_gamma 90.00
loop_
_space_group_symop_operation_xyz
'x,y,z'
'-x+1/2,-y,z+1/2'
'-x,y,z'
'x+1/2,-y,z+1/2'
loop_
_atom_site_label
_atom_site_type_symbol
_atom_site_fract_x
_atom_site_fract_y
_atom_site_fract_z
Nd1 Nd 0.162 0.015 0.000
Nd2 Nd 0.169 0.489 0.469
P1 P 0.000 0.536 0.939
Cl1 Cl 0.000 0.026 0.415
O1 O 0.000 0.476 0.678
O2 O 0.000 0.801 0.958
O3 O 0.096 0.434 0.056
O4 O 0.232 0.756 0.738
O5 O 0.249 0.241 0.732
```

Record 6
The following is a simulated powder XRD pattern of Nd4S4Cl2O. It was derived from a GGA-PBE-relaxed structure, using Cu Kα X-rays.
No peak broadening, texture or thermal motion is included.

Top 6 peaks for 10° ≤ 2θ ≤ 90°, by angle:
hkl, Position (°2θ), d (Å), I (rel.)
2 2 0, 22.3, 3.984, 23
0 4 1, 25.5, 3.489, 37
0 0 2, 25.8, 3.450, 100
2 2 2, 34.4, 2.608, 34
0 6 1, 35.8, 2.512, 23
2 6 0, 38.8, 2.324, 22

Crystal structure
```
data_Nd4S4Cl2O
_space_group_name_H-M_alt 'C m c 21'
_space_group_IT_number 36
_cell_length_a 9.156
_cell_length_b 16.180
_cell_length_c 6.900
_cell_angle_alpha 90.00
_cell_angle_beta 90.00
_cell_angle_gamma 90.00
loop_
_space_group_symop_operation_xyz
'x,y,z'
'-x,-y,z+1/2'
'-x,y,z'
'x,-y,z+1/2'
'x+1/2,y+1/2,z'
'-x+1/2,-y+1/2,z+1/2'
'-x+1/2,y+1/2,z'
'x+1/2,-y+1/2,z+1/2'
loop_
_atom_site_label
_atom_site_type_symbol
_atom_site_fract_x
_atom_site_fract_y
_atom_site_fract_z
Nd1 Nd 0.000 0.185 0.000
Nd2 Nd 0.000 0.305 0.451
Nd3 Nd 0.207 0.100 0.472
S1 S 0.000 0.041 0.753
S2 S 0.000 0.368 0.073
S3 S 0.208 0.239 0.732
Cl1 Cl 0.199 0.435 0.577
O1 O 0.000 0.167 0.344
```

Record 7
The following is a simulated powder XRD pattern of Nd3Si2ClO8. It was derived from a GGA-PBE-relaxed structure, using Cu Kα X-rays.
No peak broadening, texture or thermal motion is included.

Top 6 peaks for 10° ≤ 2θ ≤ 90°, by angle:
hkl, Position (°2θ), d (Å), I (rel.)
1 1 1, 19.3, 4.609, 70
0 3 1, 20.1, 4.417, 100
0 6 0, 29.2, 3.060, 100
1 3 2, 34.1, 2.632, 78
0 3 3, 45.1, 2.009, 67
3 3 2, 50.0, 1.825, 72

Crystal structure
```
data_Nd3Si2ClO8
_space_group_name_H-M_alt 'P n m a'
_space_group_IT_number 62
_cell_length_a 7.167
_cell_length_b 18.363
_cell_length_c 6.381
_cell_angle_alpha 90.00
_cell_angle_beta 90.00
_cell_angle_gamma 90.00
loop_
_space_group_symop_operation_xyz
'x,y,z'
'-x,-y,-z'
'-x+1/2,-y,z+1/2'
'x+1/2,y,-z+1/2'
'x+1/2,-y+1/2,-z+1/2'
'-x+1/2,y+1/2,z+1/2'
'-x,y+1/2,-z'
'x,-y+1/2,z'
loop_
_atom_site_label
_atom_site_type_symbol
_atom_site_fract_x
_atom_site_fract_y
_atom_site_fract_z
Nd1 Nd 0.017 0.091 0.126
Nd2 Nd 0.199 0.750 0.383
Si1 Si 0.027 0.100 0.621
Cl1 Cl 0.049 0.250 0.238
O1 O 0.014 0.032 0.784
O2 O 0.040 0.174 0.774
O3 O 0.158 0.618 0.528
O4 O 0.197 0.095 0.451
```

Record 8
The following is a simulated powder XRD pattern of Nd2Ta2Cl2O7. It was derived from a GGA-PBE-relaxed structure, using Cu Kα X-rays.
No peak broadening, texture or thermal motion is included.

Top 6 peaks for 10° ≤ 2θ ≤ 90°, by angle:
hkl, Position (°2θ), d (Å), I (rel.)
0 0 1, 13.9, 6.363, 52
4 0 -1, 23.2, 3.838, 43
1 1 1, 28.6, 3.126, 40
4 0 -2, 29.2, 3.061, 65
3 1 0, 29.4, 3.042, 100
1 1 -2, 34.7, 2.582, 60

Crystal structure
```
data_Nd2Ta2Cl2O7
_space_group_name_H-M_alt 'C 1 2/m 1'
_space_group_IT_number 12
_cell_length_a 15.585
_cell_length_b 3.955
_cell_length_c 6.943
_cell_angle_alpha 90.00
_cell_angle_beta 113.60
_cell_angle_gamma 90.00
loop_
_space_group_symop_operation_xyz
'x,y,z'
'-x,-y,-z'
'-x,y,-z'
'x,-y,z'
'x+1/2,y+1/2,z'
'-x+1/2,-y+1/2,-z'
'-x+1/2,y+1/2,-z'
'x+1/2,-y+1/2,z'
loop_
_atom_site_label
_atom_site_type_symbol
_atom_site_fract_x
_atom_site_fract_y
_atom_site_fract_z
Nd1 Nd 0.192 0.000 0.164
Ta1 Ta 0.035 0.500 0.799
Cl1 Cl 0.180 0.000 0.567
O1 O 0.000 0.500 0.500
O2 O 0.046 0.000 0.837
O3 O 0.081 0.500 0.153
O4 O 0.175 0.500 0.932
```